Theoretical X-ray diffraction stick pattern of YTmIr for Cu Kα, 1.54184 Å, from the GGA-PBE geometry in Alexandria.

Peak list (10 most intense, 15° ≤ 2θ ≤ 90°, sorted by position)
h k l  2θ (°)  I (rel.)
1 1 0  18.57  6.5
1 1 -1  22.79  51.3
2 2 0  37.64  100.0
2 0 2  37.71  19.9
1 3 1  44.46  27.0
4 0 0  54.30  20.9
3 3 -1  59.59  5.8
4 2 -2  67.90  21.3
4 2 2  68.02  21.2
4 4 0  80.38  8.9

```
data_YTmIr
_chemical_formula_sum 'Y4 Tm4 Ir4'
_cell_length_a 6.759
_cell_length_b 6.758
_cell_length_c 6.756
_cell_angle_alpha 90.00
_cell_angle_beta 90.16
_cell_angle_gamma 90.00
_space_group_name_H-M_alt 'C 1 2/c 1'
_space_group_IT_number 15
loop_
_space_group_symop_operation_xyz
'x,y,z'
'-x,-y,-z'
'-x,y,-z+1/2'
'x,-y,z+1/2'
'x+1/2,y+1/2,z'
'-x+1/2,-y+1/2,-z'
'-x+1/2,y+1/2,-z+1/2'
'x+1/2,-y+1/2,z+1/2'
loop_
_atom_site_label
_atom_site_fract_x
_atom_site_fract_y
_atom_site_fract_z
Y1 0.000 0.000 0.250
Tm1 0.000 0.500 0.250
Ir1 0.250 0.250 0.000
```